1.
Diffraction record for Ho2Sc2Cd3. The powder diffractogram is calculated, not measured: it uses a DFT-relaxed cell (GGA-PBE, Alexandria) and λ = 1.5418 Å (Cu Kα).
No peak broadening, texture or thermal motion is included.

Peak list (12 most intense, 10 to 90 degrees two-theta, by angle)
hkl	two_theta	I_rel
1 5 0	27.5	24
1 7 0	33.6	88
1 1 1	34.2	100
0 6 1	36.3	54
2 0 0	39.5	31
0 8 1	42.0	18
2 6 1	54.7	32
0 0 2	57.0	10
2 8 1	59.0	13
1 13 1	63.3	26
3 7 0	67.8	33
3 1 1	68.2	13

Atomic structure:
a = 4.5651 Å, b = 23.0104 Å, c = 3.2326 Å
α = 90.00°, β = 90.00°, γ = 90.00°
Space group Cmmm (No. 65)
Symmetry-distinct sites (fractional):
Ho (0.0000, 0.0738, 0.0000) [4 per cell]
Sc (0.0000, 0.2085, 0.0000) [4 per cell]
Cd (0.0000, 0.3449, 0.5000) [4 per cell]
Cd (0.0000, 0.5000, 0.5000) [2 per cell]

2.
Diffraction record for Ho2ScCd4. The powder diffractogram is calculated, not measured: it uses a DFT-relaxed cell (GGA-PBE, Alexandria) and λ = 1.5418 Å (Cu Kα).
No peak broadening, texture or thermal motion is included.

Peak list (12 most intense, 10 to 90 degrees two-theta, by angle)
hkl	two_theta	I_rel
0 0 6	21.2	13
0 1 2	21.4	40
0 1 8	35.1	100
1 1 0	35.3	98
1 1 6	41.6	14
2 0 8	50.7	34
1 0 16	62.8	18
1 2 8	63.3	35
3 0 0	63.4	17
0 2 16	74.1	11
2 1 16	84.9	15
3 1 8	85.3	15

Atomic structure:
a = 5.0797 Å, b = 5.0797 Å, c = 25.1493 Å
α = 90.00°, β = 90.00°, γ = 120.00°
Space group R-3m (No. 166, hexagonal axes)
Symmetry-distinct sites (fractional):
Ho (0.0000, 0.0000, 0.2499) [6 per cell]
Sc (0.0000, 0.0000, 0.0000) [3 per cell]
Cd (0.0000, 0.0000, 0.1259) [6 per cell]
Cd (0.0000, 0.0000, 0.3756) [6 per cell]

3.
Diffraction record for HoSc2Tl2Cd2. The powder diffractogram is calculated, not measured: it uses a DFT-relaxed cell (GGA-PBE, Alexandria) and λ = 1.5418 Å (Cu Kα).
No peak broadening, texture or thermal motion is included.

Peak list (12 most intense, 10 to 90 degrees two-theta, by angle)
hkl	two_theta	I_rel
0 0 3	10.6	12
0 0 6	21.3	12
1 0 4	25.4	63
1 0 7	32.8	99
1 1 0	36.8	100
0 1 11	45.2	37
0 2 7	50.1	30
2 0 11	59.7	23
2 1 7	63.8	28
3 0 0	66.3	18
1 2 11	72.2	12
1 3 7	87.5	12

Atomic structure:
a = 4.8838 Å, b = 4.8838 Å, c = 25.0542 Å
α = 90.00°, β = 90.00°, γ = 120.00°
Space group R-3m (No. 166, hexagonal axes)
Symmetry-distinct sites (fractional):
Ho (0.0000, 0.0000, 0.0000) [3 per cell]
Sc (0.0000, 0.0000, 0.1374) [6 per cell]
Tl (0.0000, 0.0000, 0.2686) [6 per cell]
Cd (0.0000, 0.0000, 0.4383) [6 per cell]

4.
Diffraction record for HoCdSe2. The powder diffractogram is calculated, not measured: it uses a DFT-relaxed cell (GGA-PBE, Alexandria) and λ = 1.5418 Å (Cu Kα).
No peak broadening, texture or thermal motion is included.

Peak list (12 most intense, 10 to 90 degrees two-theta, by angle)
hkl	two_theta	I_rel
0 0 3	10.3	34
0 0 6	20.7	16
0 1 2	26.0	100
1 0 4	28.6	14
0 1 5	30.5	28
0 1 8	37.7	50
1 0 10	43.4	46
1 1 0	44.0	46
2 0 2	51.8	15
2 0 8	59.3	13
0 2 10	63.5	18
2 1 10	80.5	17

Atomic structure:
a = 4.1131 Å, b = 4.1131 Å, c = 25.7231 Å
α = 90.00°, β = 90.00°, γ = 120.00°
Space group P3_221 (No. 154)
Symmetry-distinct sites (fractional):
Ho (0.0000, 0.6709, 0.3333) [3 per cell]
Cd (0.0000, 0.6644, 0.8333) [3 per cell]
Se (0.0042, 0.6667, 0.7278) [6 per cell]

5.
Diffraction record for HoCdSe. The powder diffractogram is calculated, not measured: it uses a DFT-relaxed cell (GGA-PBE, Alexandria) and λ = 1.5418 Å (Cu Kα).
No peak broadening, texture or thermal motion is included.

Peak list (12 most intense, 10 to 90 degrees two-theta, by angle)
hkl	two_theta	I_rel
0 0 3	11.3	13
1 0 1	21.7	27
1 0 4	26.2	20
0 1 5	28.6	20
1 0 7	34.3	82
1 1 0	37.4	100
0 2 7	51.6	43
1 1 12	61.0	16
2 1 7	65.5	21
3 0 0	67.5	27
2 2 0	79.8	15
1 3 7	89.9	14

Atomic structure:
a = 4.8046 Å, b = 4.8046 Å, c = 23.5594 Å
α = 90.00°, β = 90.00°, γ = 120.00°
Space group R-3m (No. 166, hexagonal axes)
Symmetry-distinct sites (fractional):
Ho (0.0000, 0.0000, 0.0854) [6 per cell]
Cd (0.0000, 0.0000, 0.3365) [6 per cell]
Se (0.0000, 0.0000, 0.2128) [6 per cell]

6.
Diffraction record for Sm12Ho6Cd. The powder diffractogram is calculated, not measured: it uses a DFT-relaxed cell (GGA-PBE, Alexandria) and λ = 1.5418 Å (Cu Kα).
No peak broadening, texture or thermal motion is included.

Peak list (12 most intense, 10 to 90 degrees two-theta, by angle)
hkl	two_theta	I_rel
1 1 3	23.1	10
2 1 1	23.5	10
0 1 5	30.8	40
0 3 3	31.4	27
1 3 1	31.7	100
3 -1 4	32.9	69
4 -1 2	33.3	32
2 0 5	34.4	10
2 2 3	34.9	18
5 -2 4	45.0	12
5 2 0	55.3	18
5 2 3	58.5	14

Atomic structure:
a = 11.9737 Å, b = 11.9737 Å, c = 15.0965 Å
α = 90.00°, β = 90.00°, γ = 120.00°
Space group R-3 (No. 148, hexagonal axes)
Symmetry-distinct sites (fractional):
Sm (0.0087, 0.1783, 0.3135) [18 per cell]
Sm (0.0472, 0.8479, 0.9152) [18 per cell]
Ho (0.0240, 0.4320, 0.1914) [18 per cell]
Cd (0.0000, 0.0000, 0.5000) [3 per cell]

7.
Diffraction record for Sm12Ho5Cd2. The powder diffractogram is calculated, not measured: it uses a DFT-relaxed cell (GGA-PBE, Alexandria) and λ = 1.5418 Å (Cu Kα).
No peak broadening, texture or thermal motion is included.

Peak list (12 most intense, 10 to 90 degrees two-theta, by angle)
hkl	two_theta	I_rel
0 2 2	28.6	37
4 2 0	30.1	36
2 2 -2	30.5	59
1 3 -1	31.4	31
1 3 1	31.6	42
5 1 -1	31.7	100
4 0 2	31.9	59
4 2 1	32.2	30
1 1 -3	33.5	64
3 3 1	35.8	45
1 3 -2	36.4	34
5 5 -1	59.0	32

Atomic structure:
a = 15.5710 Å, b = 9.2277 Å, c = 8.4762 Å
α = 90.00°, β = 92.51°, γ = 90.00°
Space group C2/m (No. 12)
Symmetry-distinct sites (fractional):
Sm (0.0574, 0.0000, 0.3293) [4 per cell]
Sm (0.0812, 0.5000, 0.8833) [4 per cell]
Sm (0.1258, 0.1946, 0.6709) [8 per cell]
Sm (0.1486, 0.3153, 0.2363) [8 per cell]
Ho (0.0000, 0.5000, 0.5000) [2 per cell]
Ho (0.1969, 0.0000, 0.0177) [4 per cell]
Ho (0.2326, 0.5000, 0.5772) [4 per cell]
Cd (0.0000, 0.1704, 0.0000) [4 per cell]

8.
Diffraction record for SmHoCd4. The powder diffractogram is calculated, not measured: it uses a DFT-relaxed cell (GGA-PBE, Alexandria) and λ = 1.5418 Å (Cu Kα).
No peak broadening, texture or thermal motion is included.

Peak list (12 most intense, 10 to 90 degrees two-theta, by angle)
hkl	two_theta	I_rel
0 1 1	20.5	4
1 0 2	33.3	100
0 2 0	35.9	83
1 2 0	44.8	3
1 2 2	49.8	32
2 0 0	53.5	9
1 1 5	62.8	31
0 3 3	64.5	14
2 2 0	66.1	27
0 4 0	76.0	9
1 3 5	85.6	13
2 3 3	88.5	19

Atomic structure:
a = 3.4285 Å, b = 5.0062 Å, c = 8.6755 Å
α = 90.00°, β = 90.00°, γ = 90.00°
Space group Pmmm (No. 47)
Symmetry-distinct sites (fractional):
Sm (0.0000, 0.0000, 0.0000) [1 per cell]
Ho (0.0000, 0.5000, 0.5000) [1 per cell]
Cd (0.5000, 0.0000, 0.3359) [2 per cell]
Cd (0.5000, 0.5000, 0.1697) [2 per cell]

9.
Diffraction record for Sm8HoCd2. The powder diffractogram is calculated, not measured: it uses a DFT-relaxed cell (GGA-PBE, Alexandria) and λ = 1.5418 Å (Cu Kα).
No peak broadening, texture or thermal motion is included.

Peak list (12 most intense, 10 to 90 degrees two-theta, by angle)
hkl	two_theta	I_rel
0 4 1	28.8	75
1 3 1	29.3	32
3 1 -1	31.1	98
2 4 0	32.0	78
1 1 -2	32.0	62
2 0 1	32.7	46
1 5 -1	33.4	100
4 0 0	44.4	23
4 0 -3	54.0	25
2 8 1	58.6	34
3 9 -1	62.9	21
6 0 -2	63.5	37

Atomic structure:
a = 8.8711 Å, b = 15.3926 Å, c = 5.6970 Å
α = 90.00°, β = 113.14°, γ = 90.00°
Space group C2/m (No. 12)
Symmetry-distinct sites (fractional):
Sm (0.0000, 0.2192, 0.0000) [4 per cell]
Sm (0.0987, 0.5000, 0.7977) [4 per cell]
Sm (0.2062, 0.1118, 0.6130) [8 per cell]
Ho (0.0000, 0.0000, 0.0000) [2 per cell]
Cd (0.0000, 0.3055, 0.5000) [4 per cell]

10.
Diffraction record for Sm2HoTl2Cd2. The powder diffractogram is calculated, not measured: it uses a DFT-relaxed cell (GGA-PBE, Alexandria) and λ = 1.5418 Å (Cu Kα).
No peak broadening, texture or thermal motion is included.

Peak list (12 most intense, 10 to 90 degrees two-theta, by angle)
hkl	two_theta	I_rel
0 0 6	19.4	13
0 1 2	21.5	11
1 0 7	30.7	30
0 1 8	33.3	100
1 1 0	36.0	97
1 1 6	41.2	11
2 0 8	49.8	39
1 0 16	57.7	12
1 2 8	62.9	52
3 0 0	64.7	17
2 2 0	76.3	11
3 1 8	85.8	23

Atomic structure:
a = 4.9929 Å, b = 4.9929 Å, c = 27.4995 Å
α = 90.00°, β = 90.00°, γ = 120.00°
Space group R-3m (No. 166, hexagonal axes)
Symmetry-distinct sites (fractional):
Sm (0.0000, 0.0000, 0.1262) [6 per cell]
Ho (0.0000, 0.0000, 0.0000) [3 per cell]
Tl (0.0000, 0.0000, 0.2586) [6 per cell]
Cd (0.0000, 0.0000, 0.3887) [6 per cell]

11.
Diffraction record for HoCd11Sn. The powder diffractogram is calculated, not measured: it uses a DFT-relaxed cell (GGA-PBE, Alexandria) and λ = 1.5418 Å (Cu Kα).
No peak broadening, texture or thermal motion is included.

Peak list (12 most intense, 10 to 90 degrees two-theta, by angle)
hkl	two_theta	I_rel
2 0 -1	27.7	23
1 3 1	30.7	53
2 2 0	33.3	100
1 5 0	35.7	55
1 1 2	36.0	28
1 1 -3	36.1	25
0 4 2	36.7	65
2 4 -1	38.0	39
2 0 -3	38.3	23
3 5 -1	54.3	19
4 0 -2	57.1	18
2 6 2	63.9	17

Atomic structure:
a = 6.4523 Å, b = 13.9218 Å, c = 7.5891 Å
α = 90.00°, β = 114.91°, γ = 90.00°
Space group C2/m (No. 12)
Symmetry-distinct sites (fractional):
Ho (0.0000, 0.0000, 0.0000) [2 per cell]
Cd (0.0000, 0.5000, 0.5000) [2 per cell]
Cd (0.0920, 0.3917, 0.2123) [8 per cell]
Cd (0.1808, 0.1751, 0.3467) [8 per cell]
Cd (0.2500, 0.2500, 0.0000) [4 per cell]
Sn (0.0000, 0.0000, 0.5000) [2 per cell]

12.
Diffraction record for SrHoTlCd. The powder diffractogram is calculated, not measured: it uses a DFT-relaxed cell (GGA-PBE, Alexandria) and λ = 1.5418 Å (Cu Kα).
No peak broadening, texture or thermal motion is included.

Peak list (12 most intense, 10 to 90 degrees two-theta, by angle)
hkl	two_theta	I_rel
1 1 1	19.7	9
2 0 0	22.8	1
2 2 0	32.4	100
3 1 1	38.2	5
4 0 0	46.5	18
3 3 1	51.0	2
4 2 2	57.9	38
5 1 1	61.7	2
4 4 0	67.9	12
5 3 1	71.5	2
6 2 0	77.3	16
4 4 4	86.3	4

Atomic structure:
a = 7.8083 Å, b = 7.8083 Å, c = 7.8083 Å
α = 90.00°, β = 90.00°, γ = 90.00°
Space group F-43m (No. 216)
Symmetry-distinct sites (fractional):
Sr (0.0000, 0.0000, 0.0000) [4 per cell]
Ho (0.0000, 0.0000, 0.5000) [4 per cell]
Tl (0.2500, 0.2500, 0.7500) [4 per cell]
Cd (0.2500, 0.2500, 0.2500) [4 per cell]

13.
Diffraction record for Tb5Ho2Cd. The powder diffractogram is calculated, not measured: it uses a DFT-relaxed cell (GGA-PBE, Alexandria) and λ = 1.5418 Å (Cu Kα).
No peak broadening, texture or thermal motion is included.

Peak list (12 most intense, 10 to 90 degrees two-theta, by angle)
hkl	two_theta	I_rel
1 2 1	31.3	100
1 0 5	35.4	36
0 3 2	38.2	14
0 1 -10	50.9	6
2 1 0	51.0	7
1 4 -3	53.1	22
1 -2 9	61.0	10
2 3 -4	61.1	18
1 5 3	64.8	8
2 4 2	65.4	9
2 0 10	74.9	4
2 6 -2	86.8	8

Atomic structure:
a = 3.5818 Å, b = 7.5060 Å, c = 18.5689 Å
α = 89.47°, β = 90.00°, γ = 76.20°
Space group P-1 (No. 2)
Symmetry-distinct sites (fractional):
Tb (0.0253, 0.4492, 0.0991) [2 per cell]
Tb (0.0883, 0.3253, 0.2795) [2 per cell]
Tb (0.2117, 0.0745, 0.6652) [2 per cell]
Tb (0.2744, 0.9498, 0.8438) [2 per cell]
Tb (0.4680, 0.5646, 0.4128) [2 per cell]
Ho (0.1600, 0.1806, 0.4634) [2 per cell]
Ho (0.3451, 0.8104, 0.0223) [2 per cell]
Cd (0.4075, 0.6868, 0.2172) [2 per cell]

14.
Diffraction record for Tb2Ho5Cd. The powder diffractogram is calculated, not measured: it uses a DFT-relaxed cell (GGA-PBE, Alexandria) and λ = 1.5418 Å (Cu Kα).
No peak broadening, texture or thermal motion is included.

Peak list (12 most intense, 10 to 90 degrees two-theta, by angle)
hkl	two_theta	I_rel
1 1 -2	27.5	8
0 4 0	31.2	59
2 2 0	32.9	100
1 3 -2	35.4	9
0 4 2	44.8	20
4 0 -2	49.5	7
3 5 -2	55.5	8
2 6 0	56.7	34
4 0 0	59.7	13
1 7 -2	63.1	6
4 4 0	69.0	8
0 8 2	74.0	6

Atomic structure:
a = 7.3591 Å, b = 11.4536 Å, c = 6.8049 Å
α = 90.00°, β = 122.73°, γ = 90.00°
Space group Cm (No. 8)
Symmetry-distinct sites (fractional):
Tb (0.0000, 0.2496, 0.0000) [4 per cell]
Ho (0.0063, 0.2243, 0.4999) [4 per cell]
Ho (0.2313, 0.0000, 0.9482) [2 per cell]
Ho (0.2825, 0.5000, 0.0521) [2 per cell]
Ho (0.3206, 0.0000, 0.4993) [2 per cell]
Cd (0.2412, 0.5000, 0.5005) [2 per cell]